Hg4PAuCl2: calculated powder X-ray diffraction pattern (Cu Ka), based on a DFT-relaxed cell (GGA-PBE, Alexandria).
Lines closer than 0.1° are merged.

Cell and atoms:
a b c (Å): 7.832 8.058 12.906
angles (deg): 90.00 90.00 90.00
Space group Imma (No. 74)
Unique sites:
Hg: 0.000 0.009 0.211 (multiplicity 8)
Hg: 0.230 0.250 0.015 (multiplicity 8)
P: 0.000 0.000 0.000 (multiplicity 4)
Au: 0.250 0.250 0.250 (multiplicity 4)
Cl: 0.000 0.000 0.500 (multiplicity 4)
Cl: 0.250 0.250 0.750 (multiplicity 4)

Main lines, low angle first (10 to 90 degrees two-theta):
| Position (°2θ) | d_spacing | I/Imax |
| --- | --- | --- |
| 12.95 | 6.835 | 32 |
| 26.07 | 3.418 | 27 |
| 26.63 | 3.348 | 24 |
| 27.65 | 3.226 | 49 |
| 31.87 | 2.808 | 100 |
| 42.69 | 2.118 | 59 |
| 45.00 | 2.015 | 20 |
| 46.38 | 1.958 | 17 |